This entry pairs a crystal structure of La2PrY2 with its simulated powder XRD pattern. Radiation: Cu Ka. Structure: a structure optimized by DFT (PBE).

Top 10 peaks for 10 to 90 degrees two-theta, sorted by position:
19.4 deg, intensity 45.1; 27.6 deg, intensity 36.7; 28.1 deg, intensity 80.9; 29.8 deg, intensity 41.7; 31.0 deg, intensity 100.0; 31.5 deg, intensity 61.9; 31.7 deg, intensity 65.3; 32.8 deg, intensity 65.2; 39.4 deg, intensity 27.9; 58.2 deg, intensity 25.7

Crystal structure
Lattice parameters (Å, degrees): 6.5593 6.5593 8.8728 102.35 102.35 94.50
Fractional coordinates of all 10 atoms:
La 0.0000 0.0000 0.0000
La 0.0000 0.0000 0.5000
La 0.0000 0.5000 0.0000
La 0.5000 0.0000 0.5000
Pr 0.3000 0.7000 0.7500
Pr 0.7000 0.3000 0.2500
Y 0.2512 0.4431 0.3677
Y 0.4431 0.2512 0.8677
Y 0.5569 0.7488 0.1323
Y 0.7488 0.5569 0.6323